No. 1
The following is a computed powder XRD pattern of Pr3Zn2Si4Au2. It was derived from a crystal structure in OQMD, relaxed with PBE, using copper Kα.

Main lines, in order of rising 2θ (2θ from 10° to 90°):
- 2θ 23.5, I 11.3
- 2θ 28.7, I 14.7
- 2θ 32.7, I 19.2
- 2θ 33.0, I 100.0
- 2θ 36.8, I 12.2
- 2θ 42.0, I 17.7
- 2θ 42.6, I 17.1
- 2θ 61.4, I 11.5

Structural model:
a b c (Å): 4.2492 4.2993 24.8696
angles (deg): 90.00 90.00 90.00
Space group Immm (No. 71)
Asymmetric unit:
Pr1 0.0000 0.0000 0.0000 [2 per cell]
Pr2 0.0000 0.5000 0.3544 [4 per cell]
Zn1 0.0000 0.5000 0.0947 [4 per cell]
Si1 0.0000 0.0000 0.4523 [4 per cell]
Si2 0.0000 0.5000 0.1910 [4 per cell]
Au1 0.0000 0.0000 0.2503 [4 per cell]

---

No. 2
The following is a computed powder XRD pattern of PrSmAu. It was derived from a crystal structure in OQMD, relaxed with PBE, using copper Kα.

Main lines, in order of rising 2θ (2θ from 10° to 90°):
- 2θ 21.9, I 25.2
- 2θ 25.3, I 18.7
- 2θ 36.1, I 100.0
- 2θ 42.6, I 13.5
- 2θ 52.0, I 17.8
- 2θ 64.9, I 36.5
- 2θ 76.6, I 11.4
- 2θ 87.7, I 16.8

Structural model:
a b c (Å): 7.0385 7.0385 7.0385
angles (deg): 90.00 90.00 90.00
Space group F-43m (No. 216)
Asymmetric unit:
Pr1 0.0000 0.0000 0.0000 [4 per cell]
Sm1 0.2500 0.2500 0.7500 [4 per cell]
Au1 0.0000 0.0000 0.5000 [4 per cell]

---

Question: What is the formula in the second record?
Answer: PrSmAu